[1]
The following is a computed X-ray powder pattern of Sr6Nd4Mn3Rh2O20. It was derived from the PBE+U geometry in the Materials Project, using Cu Kα (λ = 1.5418 Å).
Lines closer than 0.1° are merged.

Atomic structure:
Cell: 3.9501 6.7953 20.8539 Å, 94.88 91.55 105.62°
Space group P1 (No. 1)
Asymmetric unit:
Sr (0.0000, 0.0000, 0.0000) [1 per cell]
Sr (0.0546, 0.1476, 0.7781) [1 per cell]
Sr (0.1413, 0.4193, 0.6261) [1 per cell]
Sr (0.4557, 0.9323, 0.6135) [1 per cell]
Sr (0.6391, 0.2285, 0.4645) [1 per cell]
Sr (0.7199, 0.4079, 0.1559) [1 per cell]
Nd (0.0476, 0.0795, 0.2296) [1 per cell]
Nd (0.2589, 0.5073, 0.0200) [1 per cell]
Nd (0.3239, 0.6774, 0.8620) [1 per cell]
Nd (0.3758, 0.7550, 0.3603) [1 per cell]
Mn (0.6491, 0.3070, 0.9170) [1 per cell]
Mn (0.7427, 0.5547, 0.7429) [1 per cell]
Mn (0.9446, 0.8414, 0.4813) [1 per cell]
Rh (0.4203, 0.8149, 0.1440) [1 per cell]
Rh (0.6616, 0.3173, 0.3162) [1 per cell]
O (0.0158, 0.0040, 0.4082) [1 per cell]
O (0.0195, 0.0810, 0.5553) [1 per cell]
O (0.1364, 0.2323, 0.1356) [1 per cell]
O (0.1612, 0.3303, 0.9177) [1 per cell]
O (0.1947, 0.3991, 0.2961) [1 per cell]
O (0.2334, 0.5306, 0.7514) [1 per cell]
O (0.4353, 0.8461, 0.0524) [1 per cell]
O (0.4387, 0.8322, 0.4739) [1 per cell]
O (0.5040, 0.0153, 0.9122) [1 per cell]
O (0.5065, 0.9847, 0.2769) [1 per cell]
O (0.5992, 0.2664, 0.6921) [1 per cell]
O (0.6203, 0.4763, 0.5526) [1 per cell]
O (0.6572, 0.3524, 0.8284) [1 per cell]
O (0.6671, 0.3111, 0.0190) [1 per cell]
O (0.7930, 0.5748, 0.3776) [1 per cell]
O (0.8051, 0.6200, 0.9454) [1 per cell]
O (0.8170, 0.7223, 0.6757) [1 per cell]
O (0.8627, 0.7825, 0.8088) [1 per cell]
O (0.9028, 0.7682, 0.1616) [1 per cell]
O (0.9490, 0.6128, 0.5349) [1 per cell]

The 8 most intense peaks (10° ≤ 2θ ≤ 90°), in order of falling intensity:
hkl  2θ (°)  I_rel
2 -1 0  45.98  1000
1 1 2  32.23  744
1 -1 4  29.29  708
1 -2 0  30.95  642
1 0 -4  28.39  614
0 1 -4  20.84  555
1 0 -5  31.05  489
-1 2 2  32.51  456

---

[2]
The following is a computed X-ray powder pattern of Nd2MnSb2O. It was derived from the PBE+U geometry in the Materials Project, using Cu Kα (λ = 1.5418 Å).
Lines closer than 0.1° are merged.

Atomic structure:
Cell: 3.4486 3.4486 16.3081 Å, 90.00 90.00 90.00°
Space group P4/mmm (No. 123)
Asymmetric unit:
Nd (0.0000, 0.0000, 0.1288) [2 per cell]
Mn (0.0000, 0.0000, 0.5000) [1 per cell]
Sb (0.0000, 0.0000, 0.3341) [2 per cell]
O (0.0000, 0.0000, 0.0000) [1 per cell]

The 8 most intense peaks (10° ≤ 2θ ≤ 90°), in order of falling intensity:
hkl  2θ (°)  I_rel
1 0 0  25.84  1000
1 1 0  36.86  389
1 0 4  34.05  305
0 0 4  21.80  234
1 0 5  37.97  220
2 1 0  59.98  182
1 0 6  42.34  181
1 1 4  43.23  159

---

[3]
The following is a computed X-ray powder pattern of NdMnSbO. It was derived from the PBE+U geometry in the Materials Project, using Cu Kα (λ = 1.5418 Å).
Lines closer than 0.1° are merged.

Atomic structure:
Cell: 4.2597 4.2597 9.7209 Å, 90.00 90.00 90.00°
Space group P4/nmm (No. 129, origin choice 2)
Asymmetric unit:
Nd (0.2500, 0.2500, 0.1117) [2 per cell]
Mn (0.2500, 0.7500, 0.5000) [2 per cell]
Sb (0.2500, 0.2500, 0.6917) [2 per cell]
O (0.2500, 0.7500, 0.0000) [2 per cell]

The 8 most intense peaks (10° ≤ 2θ ≤ 90°), in order of falling intensity:
hkl  2θ (°)  I_rel
1 0 2  27.85  1000
2 0 0  42.44  363
2 1 2  51.53  362
1 0 3  34.79  359
1 1 0  29.66  311
1 1 2  35.05  211
2 1 3  56.00  182
1 1 1  31.08  170

---

[4]
The following is a computed X-ray powder pattern of Nd4MnSe6O. It was derived from the PBE+U geometry in the Materials Project, using Cu Kα (λ = 1.5418 Å).
Lines closer than 0.1° are merged.

Atomic structure:
Cell: 9.7146 9.7146 7.0474 Å, 90.00 90.00 120.00°
Space group P6_3mc (No. 186)
Asymmetric unit:
Nd (0.2012, 0.4023, 0.0000) [6 per cell]
Nd (0.3333, 0.6667, 0.4547) [2 per cell]
Mn (0.0000, 0.0000, 0.1635) [2 per cell]
Se (0.0622, 0.5311, 0.7166) [6 per cell]
Se (0.1280, 0.2560, 0.3961) [6 per cell]
O (0.3333, 0.6667, 0.1193) [2 per cell]

The 8 most intense peaks (10° ≤ 2θ ≤ 90°), in order of falling intensity:
hkl  2θ (°)  I_rel
2 0 2  33.17  1000
3 0 1  34.42  758
2 1 1  30.85  660
2 0 1  24.65  594
2 2 0  37.01  577
2 0 3  44.16  316
2 1 2  38.12  241
3 3 0  56.87  198

---

[5]
The following is a computed X-ray powder pattern of SrNdMnSnO6. It was derived from the PBE+U geometry in the Materials Project, using Cu Kα (λ = 1.5418 Å).
Lines closer than 0.1° are merged.

Atomic structure:
Cell: 8.0510 8.0510 8.0510 Å, 90.00 90.00 90.00°
Space group F-43m (No. 216)
Asymmetric unit:
Sr (0.0000, 0.0000, 0.0000) [4 per cell]
Nd (0.0000, 0.0000, 0.5000) [4 per cell]
Mn (0.2500, 0.2500, 0.7500) [4 per cell]
Sn (0.2500, 0.2500, 0.2500) [4 per cell]
O (0.0033, 0.2500, 0.7500) [24 per cell]

The 8 most intense peaks (10° ≤ 2θ ≤ 90°), in order of falling intensity:
hkl  2θ (°)  I_rel
2 2 0  31.43  1000
4 2 2  55.95  399
4 0 0  45.04  328
4 4 0  65.59  199
6 2 0  74.54  175
1 1 1  19.09  108
3 1 1  37.03  69
4 4 4  83.12  67

---

[6]
The following is a computed X-ray powder pattern of SrNd2Mn3O9. It was derived from the PBE+U geometry in the Materials Project, using Cu Kα (λ = 1.5418 Å).
Lines closer than 0.1° are merged.

Atomic structure:
Cell: 16.7876 7.7344 5.5513 Å, 90.00 90.00 90.00°
Space group Pnma (No. 62)
Asymmetric unit:
Sr (0.1590, 0.2500, 0.0054) [4 per cell]
Nd (0.0118, 0.7500, 0.5099) [4 per cell]
Nd (0.1794, 0.7500, 0.9901) [4 per cell]
Mn (0.0000, 0.0000, 0.0000) [4 per cell]
Mn (0.1661, 0.0010, 0.4995) [8 per cell]
O (0.0035, 0.2500, 0.9186) [4 per cell]
O (0.0696, 0.0351, 0.2862) [8 per cell]
O (0.0922, 0.5493, 0.7800) [8 per cell]
O (0.1599, 0.7500, 0.4205) [4 per cell]
O (0.1714, 0.2500, 0.5585) [4 per cell]
O (0.2443, 0.0339, 0.2344) [8 per cell]

The 8 most intense peaks (10° ≤ 2θ ≤ 90°), in order of falling intensity:
hkl  2θ (°)  I_rel
3 2 1  32.44  1000
6 0 2  46.06  293
0 0 2  32.25  244
6 0 0  31.99  237
3 2 3  57.63  219
9 2 1  57.29  153
6 4 2  67.92  150
0 4 0  46.99  149